No. 1
For ZrS2O9, a PBE-relaxed structure gives the computed powder XRD pattern in this record (Cu Kα (weighted mean of Kα1 and Kα2)).
Intensities are scaled so that the largest is 100.

Structure:
abc: 5.3429 8.1677 9.1378
angles: 76.27 85.97 72.01
Space group P-1 (No. 2)
Symmetry-distinct sites (fractional):
Zr1 0.1966 0.1056 0.2252
S1 0.1963 0.1626 0.6029
S2 0.3403 0.7559 0.0266
O1 0.0184 0.3238 0.6290
O2 0.0329 0.6319 0.7444
O3 0.0844 0.0079 0.6560
O4 0.1088 0.7490 0.9456
O5 0.2546 0.9271 0.0762
O6 0.2565 0.1705 0.4367
O7 0.4402 0.6021 0.1433
O8 0.4547 0.2228 0.0953
O9 0.4570 0.1111 0.6780

The 10 most intense peaks (5 to 70 degrees two-theta), most intense first:
h k l  2theta  intensity
0 1 0  11.70  100
1 1 -1  21.74  50
1 0 1  20.16  32
0 1 2  20.77  21
1 0 2  26.70  20
0 2 2  27.28  20
1 2 0  24.75  17
2 1 0  33.66  16
1 1 -2  28.87  16
0 2 1  23.37  12



No. 2
For ZrS2O12, a PBE-relaxed structure gives the computed powder XRD pattern in this record (Cu Kα (weighted mean of Kα1 and Kα2)).
Intensities are scaled so that the largest is 100.

Structure:
abc: 5.7210 11.3356 28.4280
angles: 90.00 90.00 90.00
Space group Fddd (No. 70, origin choice 2)
Symmetry-distinct sites (fractional):
Zr1 0.1250 0.1250 0.1250
S1 0.1250 0.1250 0.4328
O1 0.0520 0.3348 0.3095
O2 0.0832 0.3592 0.7121
O3 0.0990 0.0217 0.8506

The 10 most intense peaks (5 to 70 degrees two-theta), most intense first:
h k l  2theta  intensity
1 1 3  19.75  100
0 0 4  12.45  45
1 3 3  29.87  33
0 2 6  24.49  29
1 1 1  17.64  23
1 1 7  28.07  21
2 2 4  37.42  21
0 4 0  31.57  15
2 0 10  44.96  11
2 4 10  55.97  10



No. 3
For ZrSO, a PBE-relaxed structure gives the computed powder XRD pattern in this record (Cu Kα (weighted mean of Kα1 and Kα2)).
Intensities are scaled so that the largest is 100.

Structure:
abc: 5.7725 5.7725 5.7725
angles: 90.00 90.00 90.00
Space group P2_13 (No. 198)
Symmetry-distinct sites (fractional):
Zr1 0.0706 0.0706 0.0706
S1 0.1692 0.6692 0.8308
O1 0.1558 0.8442 0.3442

The 10 most intense peaks (5 to 70 degrees two-theta), most intense first:
h k l  2theta  intensity
1 1 1  26.75  100
2 0 1  34.75  88
2 1 1  38.19  79
1 1 0  21.77  52
3 2 1  59.96  51
3 1 0  49.96  47
2 2 1  47.24  39
4 0 1  66.82  38
2 2 0  44.39  20
3 0 2  57.57  19



No. 4
For Zr2S3O18, a PBE-relaxed structure gives the computed powder XRD pattern in this record (Cu Kα (weighted mean of Kα1 and Kα2)).
Intensities are scaled so that the largest is 100.

Structure:
abc: 13.7916 6.5065 15.4210
angles: 90.00 94.82 90.00
Space group C2/c (No. 15)
Symmetry-distinct sites (fractional):
Zr1 0.1091 0.0051 0.0797
S1 0.0000 0.2689 0.7500
S2 0.2107 0.4869 0.5694
O1 0.0089 0.1657 0.3639
O2 0.0402 0.0866 0.9564
O3 0.0572 0.4005 0.8126
O4 0.0675 0.1313 0.7048
O5 0.1400 0.3132 0.5533
O6 0.1483 0.3339 0.0935
O7 0.2140 0.0554 0.3621
O8 0.2329 0.0470 0.1858
O9 0.2482 0.0326 0.0152

The 10 most intense peaks (5 to 70 degrees two-theta), most intense first:
h k l  2theta  intensity
2 0 2  18.03  100
1 1 0  15.07  85
0 0 2  11.52  50
3 1 -2  25.73  43
2 0 -4  25.60  33
0 2 0  27.42  30
3 1 -4  32.21  27
1 1 -2  18.67  26
2 0 4  27.54  26
5 1 -6  48.58  23



No. 5
For ZrSO, a PBE-relaxed structure gives the computed powder XRD pattern in this record (Cu Kα (weighted mean of Kα1 and Kα2)).
Intensities are scaled so that the largest is 100.

Structure:
abc: 3.6273 3.6273 6.4119
angles: 90.00 90.00 90.00
Space group P4/nmm (No. 129, origin choice 2)
Symmetry-distinct sites (fractional):
Zr1 0.2500 0.2500 0.1975
S1 0.2500 0.2500 0.6269
O1 0.2500 0.7500 0.0000

The 10 most intense peaks (5 to 70 degrees two-theta), most intense first:
h k l  2theta  intensity
1 0 1  28.27  100
1 0 2  37.44  92
1 1 0  34.98  82
1 1 2  45.28  53
2 0 0  50.31  46
2 1 2  64.36  34
1 0 3  49.50  26
2 1 1  58.71  26
0 0 2  27.83  21
1 0 4  63.44  19



No. 6
For ZrS2O15, a PBE-relaxed structure gives the computed powder XRD pattern in this record (Cu Kα (weighted mean of Kα1 and Kα2)).
Intensities are scaled so that the largest is 100.

Structure:
abc: 7.1254 7.6397 12.4276
angles: 83.24 77.34 89.70
Space group P-1 (No. 2)
Symmetry-distinct sites (fractional):
Zr1 0.0152 0.4558 0.3078
S1 0.0851 0.6802 0.1067
S2 0.2476 0.2785 0.5051
O1 0.0354 0.4783 0.1315
O2 0.0785 0.2204 0.9150
O3 0.1114 0.7036 0.2275
O4 0.1315 0.1230 0.5500
O5 0.1559 0.4371 0.5680
O6 0.2146 0.3400 0.3855
O7 0.2168 0.8919 0.7240
O8 0.2192 0.7140 0.6983
O9 0.2441 0.1007 0.1010
O10 0.2631 0.1667 0.1833
O11 0.2633 0.7147 0.0256
O12 0.3783 0.9517 0.7237
O13 0.4339 0.3694 0.7588
O14 0.4498 0.2781 0.5015
O15 0.4997 0.4695 0.8116

The 10 most intense peaks (5 to 70 degrees two-theta), most intense first:
h k l  2theta  intensity
0 1 0  11.67  100
1 0 0  12.74  92
1 1 1  17.25  56
1 -1 3  26.96  49
1 1 0  17.49  45
-1 1 2  23.57  43
0 2 2  26.24  43
0 1 2  17.68  35
2 -1 0  28.01  35
1 2 -1  29.52  28



No. 7
For Sb3O14, a PBE-relaxed structure gives the computed powder XRD pattern in this record (Cu Kα (weighted mean of Kα1 and Kα2)).
Intensities are scaled so that the largest is 100.

Structure:
abc: 5.8560 14.9433 5.8639
angles: 90.00 108.27 90.00
Space group P2_1/m (No. 11)
Symmetry-distinct sites (fractional):
Sb1 0.0000 0.0000 0.0000
Sb2 0.3484 0.0707 0.6130
O1 0.0697 0.1266 0.0213
O2 0.1319 0.7500 0.0044
O3 0.1471 0.1526 0.3954
O4 0.2203 0.5124 0.7916
O5 0.3146 0.5215 0.3249
O6 0.3410 0.2500 0.8263
O7 0.3610 0.7088 0.5907
O8 0.4892 0.1745 0.8754

The 10 most intense peaks (5 to 70 degrees two-theta), most intense first:
h k l  2theta  intensity
0 2 0  11.84  100
1 0 1  25.94  78
2 0 -1  31.11  44
1 3 0  23.98  43
1 2 1  28.61  29
0 3 2  37.00  25
0 6 1  39.65  22
2 0 2  53.33  21
1 3 -2  36.06  21
1 1 0  17.01  20



No. 8
For Sb3O7, a PBE-relaxed structure gives the computed powder XRD pattern in this record (Cu Kα (weighted mean of Kα1 and Kα2)).
Intensities are scaled so that the largest is 100.

Structure:
abc: 7.6351 11.3953 6.6082
angles: 90.00 90.00 90.00
Space group Imma (No. 74)
Symmetry-distinct sites (fractional):
Sb1 0.2500 0.0354 0.2500
Sb2 0.2500 0.2500 0.7500
O1 0.0000 0.0740 0.2171
O2 0.0000 0.2500 0.8056
O3 0.2274 0.1085 0.5553

The 10 most intense peaks (5 to 70 degrees two-theta), most intense first:
h k l  2theta  intensity
0 0 2  27.04  100
2 0 0  23.30  68
2 0 2  35.98  48
0 2 0  15.53  34
0 0 4  55.63  33
4 0 0  47.69  31
2 4 2  48.46  25
0 4 2  41.88  23
2 7 1  63.72  15
2 3 3  53.77  15



Please write out number 1 again, unchanged.
For ZrS2O9, a PBE-relaxed structure gives the computed powder XRD pattern in this record (Cu Kα (weighted mean of Kα1 and Kα2)).
Intensities are scaled so that the largest is 100.

Structure:
abc: 5.3429 8.1677 9.1378
angles: 76.27 85.97 72.01
Space group P-1 (No. 2)
Symmetry-distinct sites (fractional):
Zr1 0.1966 0.1056 0.2252
S1 0.1963 0.1626 0.6029
S2 0.3403 0.7559 0.0266
O1 0.0184 0.3238 0.6290
O2 0.0329 0.6319 0.7444
O3 0.0844 0.0079 0.6560
O4 0.1088 0.7490 0.9456
O5 0.2546 0.9271 0.0762
O6 0.2565 0.1705 0.4367
O7 0.4402 0.6021 0.1433
O8 0.4547 0.2228 0.0953
O9 0.4570 0.1111 0.6780

The 10 most intense peaks (5 to 70 degrees two-theta), most intense first:
h k l  2theta  intensity
0 1 0  11.70  100
1 1 -1  21.74  50
1 0 1  20.16  32
0 1 2  20.77  21
1 0 2  26.70  20
0 2 2  27.28  20
1 2 0  24.75  17
2 1 0  33.66  16
1 1 -2  28.87  16
0 2 1  23.37  12



- Number 5 is which compound?
  ZrSO



Please write out number 8 again, unchanged.
For Sb3O7, a PBE-relaxed structure gives the computed powder XRD pattern in this record (Cu Kα (weighted mean of Kα1 and Kα2)).
Intensities are scaled so that the largest is 100.

Structure:
abc: 7.6351 11.3953 6.6082
angles: 90.00 90.00 90.00
Space group Imma (No. 74)
Symmetry-distinct sites (fractional):
Sb1 0.2500 0.0354 0.2500
Sb2 0.2500 0.2500 0.7500
O1 0.0000 0.0740 0.2171
O2 0.0000 0.2500 0.8056
O3 0.2274 0.1085 0.5553

The 10 most intense peaks (5 to 70 degrees two-theta), most intense first:
h k l  2theta  intensity
0 0 2  27.04  100
2 0 0  23.30  68
2 0 2  35.98  48
0 2 0  15.53  34
0 0 4  55.63  33
4 0 0  47.69  31
2 4 2  48.46  25
0 4 2  41.88  23
2 7 1  63.72  15
2 3 3  53.77  15